Entry 1:
Y2CrN3: calculated XRD peak list (copper Kα), based on DFT lattice parameters and positions (PBE).
Lines closer than 0.1° are merged.

Structural model:
```
data_Y2CrN3
_space_group_name_H-M_alt 'C 1 2/c 1'
_space_group_IT_number 15
_space_group_name_Hall '-C 2yc'
_cell_length_a 5.166
_cell_length_b 10.576
_cell_length_c 11.425
_cell_angle_alpha 90.00
_cell_angle_beta 94.21
_cell_angle_gamma 90.00
loop_
_atom_site_label
_atom_site_type_symbol
_atom_site_fract_x
_atom_site_fract_y
_atom_site_fract_z
_atom_site_occupancy
Y1 Y 0.230 0.204 0.353 1
Y2 Y 0.236 0.108 0.928 1
Cr1 Cr 0.210 0.496 0.827 1
N1 N 0.000 0.005 0.250 1
N2 N 0.000 0.373 0.250 1
N3 N 0.197 0.322 0.871 1
N4 N 0.242 0.096 0.537 1
```

Peak list (8 most intense, 15 to 90 degrees two-theta, in order of rising 2θ)
2theta	Rel. int.
29.4	31.8
31.4	74.9
32.1	28.6
34.0	45.7
34.8	100.0
35.2	47.6
35.9	30.0
43.2	31.4

---

Entry 2:
ThU2S5: calculated XRD peak list (copper Kα), based on DFT lattice parameters and positions (PBE).
Lines closer than 0.1° are merged.

Structural model:
```
data_ThU2S5
_space_group_name_H-M_alt 'P n a 21'
_space_group_IT_number 33
_space_group_name_Hall 'P 2c -2n'
_cell_length_a 11.823
_cell_length_b 7.417
_cell_length_c 7.955
_cell_angle_alpha 90.00
_cell_angle_beta 90.00
_cell_angle_gamma 90.00
loop_
_atom_site_label
_atom_site_type_symbol
_atom_site_fract_x
_atom_site_fract_y
_atom_site_fract_z
_atom_site_occupancy
Th1 Th 0.178 0.023 0.000 1
U1 U 0.008 0.574 0.753 1
U2 U 0.180 0.022 0.502 1
S1 S 0.001 0.962 0.751 1
S2 S 0.097 0.668 0.457 1
S3 S 0.099 0.664 0.045 1
S4 S 0.188 0.329 0.751 1
S5 S 0.216 0.300 0.251 1
```

Peak list (8 most intense, 15 to 90 degrees two-theta, in order of rising 2θ)
2theta	Rel. int.
24.0	48.1
25.6	100.0
26.5	67.6
27.0	59.5
34.2	23.0
36.4	58.4
46.3	42.2
53.0	35.9

---

Entry 3:
Rb12Sn2Bi6O: calculated XRD peak list (copper Kα), based on DFT lattice parameters and positions (PBE).
Lines closer than 0.1° are merged.

Structural model:
```
data_Rb12Sn2Bi6O
_space_group_name_H-M_alt 'P -3 m 1'
_space_group_IT_number 164
_space_group_name_Hall '-P 3 2"'
_cell_length_a 12.7983
_cell_length_b 12.7983
_cell_length_c 6.4794
_cell_angle_alpha 90.00
_cell_angle_beta 90.00
_cell_angle_gamma 120.00
loop_
_atom_site_label
_atom_site_type_symbol
_atom_site_fract_x
_atom_site_fract_y
_atom_site_fract_z
_atom_site_occupancy
Rb1 Rb 0.0932 0.5466 0.2510 1
Rb2 Rb 0.1101 0.2201 0.2225 1
Sn1 Sn 0.3333 0.6667 0.7501 1
Bi1 Bi 0.2052 0.4103 0.7413 1
O1 O 0.0000 0.0000 0.0000 1
```

Peak list (8 most intense, 15 to 90 degrees two-theta, in order of rising 2θ)
2theta	Rel. int.
15.8	28.1
24.1	12.8
27.5	27.7
27.8	100.0
42.4	19.6
48.8	17.9
51.3	21.2
51.4	12.5

---

Entry 4:
Na3GaSe3: calculated XRD peak list (copper Kα), based on DFT lattice parameters and positions (PBE).
Lines closer than 0.1° are merged.

Structural model:
```
data_Na3GaSe3
_space_group_name_H-M_alt 'P 1 21/c 1'
_space_group_IT_number 14
_space_group_name_Hall '-P 2ybc'
_cell_length_a 7.576
_cell_length_b 7.350
_cell_length_c 15.278
_cell_angle_alpha 90.00
_cell_angle_beta 119.34
_cell_angle_gamma 90.00
loop_
_atom_site_label
_atom_site_type_symbol
_atom_site_fract_x
_atom_site_fract_y
_atom_site_fract_z
_atom_site_occupancy
Na1 Na 0.060 0.029 0.287 1
Na2 Na 0.272 0.004 0.107 1
Na3 Na 0.314 0.504 0.105 1
Ga1 Ga 0.333 0.644 0.418 1
Se1 Se 0.049 0.739 0.929 1
Se2 Se 0.344 0.749 0.272 1
Se3 Se 0.346 0.195 0.926 1
```

Peak list (8 most intense, 15 to 90 degrees two-theta, in order of rising 2θ)
2theta	Rel. int.
18.0	76.8
24.2	47.6
26.3	71.8
26.5	68.2
33.8	100.0
40.6	41.6
41.0	56.1
43.9	46.9